Computed X-ray powder pattern
Compound: U2CoAs2O20
Radiation: copper Kα
Structure: a cell relaxed with GGA+U

Crystal structure
Lattice parameters (Å, degrees): 7.1560 9.0039 12.8129 80.56 84.25 82.32
Fractional positions:
1 U 0.2222 0.2185 0.4169
2 U 0.2354 0.7085 0.9094
3 U 0.7646 0.2915 0.0906
4 U 0.7778 0.7815 0.5831
5 Co 0.3205 0.3623 0.7575
6 Co 0.6795 0.6377 0.2425
7 As 0.2443 0.3771 0.1283
8 As 0.2523 0.8700 0.6218
9 As 0.7477 0.1300 0.3782
10 As 0.7557 0.6229 0.8717
11 O 0.0443 0.8581 0.2187
12 O 0.0729 0.3018 0.0759
13 O 0.0871 0.7970 0.5638
14 O 0.1223 0.4177 0.6912
15 O 0.1568 0.2679 0.8518
16 O 0.1844 0.3782 0.4899
17 O 0.1907 0.3798 0.2609
18 O 0.1972 0.8576 0.7564
19 O 0.2067 0.8764 0.9796
20 O 0.2257 0.7431 0.3300
21 O 0.2564 0.0573 0.5690
22 O 0.2592 0.0588 0.3434
23 O 0.2611 0.5577 0.0625
24 O 0.2794 0.5346 0.8383
25 O 0.3856 0.9880 0.0576
26 O 0.4048 0.1986 0.7044
27 O 0.4446 0.7144 0.1880
28 O 0.4586 0.2696 0.1073
29 O 0.4667 0.7668 0.5984
30 O 0.4904 0.4566 0.6699
31 O 0.5096 0.5434 0.3301
32 O 0.5333 0.2332 0.4016
33 O 0.5414 0.7304 0.8927
34 O 0.5554 0.2856 0.8120
35 O 0.5952 0.8014 0.2956
36 O 0.6143 0.0120 0.9424
37 O 0.7206 0.4654 0.1617
38 O 0.7389 0.4423 0.9375
39 O 0.7408 0.9412 0.6566
40 O 0.7436 0.9427 0.4310
41 O 0.7743 0.2569 0.6700
42 O 0.7933 0.1236 0.0204
43 O 0.8028 0.1424 0.2436
44 O 0.8093 0.6202 0.7391
45 O 0.8156 0.6218 0.5101
46 O 0.8432 0.7321 0.1482
47 O 0.8777 0.5823 0.3088
48 O 0.9129 0.2030 0.4362
49 O 0.9271 0.6982 0.9241
50 O 0.9557 0.1419 0.7813

Top 10 peaks for 5 to 70 degrees two-theta, low angle first:
Position (°2θ)	I_rel
11.33	100
17.71	28
18.15	46
20.14	34
22.01	36
24.28	29
24.84	56
25.20	44
26.01	30
26.38	23

Computed X-ray powder pattern
Compound: LiCoPO4
Radiation: copper Kα
Structure: a cell relaxed with GGA+U

Crystal structure
Lattice parameters (Å, degrees): 5.7571 7.6494 13.9075 90.00 90.00 90.00
Fractional positions:
1 Li 0.1507 0.1963 0.2217
2 Li 0.1507 0.3037 0.7217
3 Li 0.3493 0.6963 0.2217
4 Li 0.3493 0.8037 0.7217
5 Li 0.6507 0.1963 0.2783
6 Li 0.6507 0.3037 0.7783
7 Li 0.8493 0.6963 0.2783
8 Li 0.8493 0.8037 0.7783
9 Co 0.0950 0.6834 0.5399
10 Co 0.0950 0.8166 0.0399
11 Co 0.4050 0.1834 0.5399
12 Co 0.4050 0.3166 0.0399
13 Co 0.5950 0.6834 0.9601
14 Co 0.5950 0.8166 0.4601
15 Co 0.9050 0.1834 0.9601
16 Co 0.9050 0.3166 0.4601
17 P 0.1021 0.5466 0.8726
18 P 0.1021 0.9534 0.3726
19 P 0.3979 0.0466 0.8726
20 P 0.3979 0.4534 0.3726
21 P 0.6021 0.5466 0.6274
22 P 0.6021 0.9534 0.1274
23 P 0.8979 0.0466 0.6274
24 P 0.8979 0.4534 0.1274
25 O 0.0295 0.6293 0.1376
26 O 0.0295 0.8707 0.6376
27 O 0.0590 0.1882 0.5774
28 O 0.0590 0.3118 0.0774
29 O 0.1638 0.6134 0.7730
30 O 0.1638 0.8866 0.2730
31 O 0.1802 0.0211 0.9390
32 O 0.1802 0.4789 0.4390
33 O 0.3198 0.5211 0.9390
34 O 0.3198 0.9789 0.4390
35 O 0.3362 0.1134 0.7730
36 O 0.3362 0.3866 0.2730
37 O 0.4410 0.6882 0.5774
38 O 0.4410 0.8118 0.0774
39 O 0.4705 0.1293 0.1376
40 O 0.4705 0.3707 0.6376
41 O 0.5295 0.6293 0.3624
42 O 0.5295 0.8707 0.8624
43 O 0.5590 0.1882 0.9226
44 O 0.5590 0.3118 0.4226
45 O 0.6638 0.6134 0.7270
46 O 0.6638 0.8866 0.2270
47 O 0.6802 0.0211 0.5610
48 O 0.6802 0.4789 0.0610
49 O 0.8198 0.5211 0.5610
50 O 0.8198 0.9789 0.0610
51 O 0.8362 0.1134 0.7270
52 O 0.8362 0.3866 0.2270
53 O 0.9410 0.6882 0.9226
54 O 0.9410 0.8118 0.4226
55 O 0.9705 0.1293 0.3624
56 O 0.9705 0.3707 0.8624

Top 10 peaks for 5 to 70 degrees two-theta, low angle first:
Position (°2θ)	I_rel
12.73	100
24.13	18
27.31	57
30.30	13
30.87	33
33.26	25
34.15	17
35.74	13
40.08	20
58.64	25

Computed X-ray powder pattern
Compound: ZnCoF6
Radiation: copper Kα
Structure: a cell relaxed with GGA+U

Crystal structure
Lattice parameters (Å, degrees): 5.4306 5.4306 5.4306 58.31 58.31 58.31
Fractional positions:
1 Zn 0.0000 0.0000 0.0000
2 Co 0.5000 0.5000 0.5000
3 F 0.1722 0.3508 0.7377
4 F 0.2623 0.8278 0.6492
5 F 0.3508 0.7377 0.1722
6 F 0.6492 0.2623 0.8278
7 F 0.7377 0.1722 0.3508
8 F 0.8278 0.6492 0.2623

Top 10 peaks for 5 to 70 degrees two-theta, low angle first:
Position (°2θ)	I_rel
23.48	100
33.01	18
33.88	10
39.54	11
48.03	21
53.54	23
54.72	14
60.07	8
60.63	7
69.25	6